Entry 1:
Calculated powder XRD pattern
Compound: NpCrIO6
Radiation: copper Kα
Structure: DFT lattice parameters and positions (GGA+U)

Most intense lines, 2θ = 5–70°, by angle:
| 2theta | I/Imax |
| --- | --- |
| 18.5 | 77 |
| 20.7 | 38 |
| 26.3 | 100 |
| 32.3 | 75 |
| 37.5 | 90 |
| 50.4 | 62 |

Structural model:
```
NpCrIO6
1.0
5.539 0.000 0.000
-2.770 4.797 0.000
0.000 0.000 9.581
Np Cr I O
2 2 2 12
Direct
0.333 0.667 0.250 Np
0.667 0.333 0.750 Np
0.000 0.000 0.000 Cr
0.000 0.000 0.500 Cr
0.333 0.667 0.750 I
0.667 0.333 0.250 I
0.166 0.331 0.114 O
0.166 0.331 0.386 O
0.166 0.834 0.114 O
0.166 0.834 0.386 O
0.331 0.166 0.614 O
0.331 0.166 0.886 O
0.669 0.834 0.114 O
0.669 0.834 0.386 O
0.834 0.166 0.614 O
0.834 0.166 0.886 O
0.834 0.669 0.614 O
0.834 0.669 0.886 O
```

Entry 2:
Calculated powder XRD pattern
Compound: Cr2IO
Radiation: copper Kα
Structure: DFT lattice parameters and positions (GGA+U)

Most intense lines, 2θ = 5–70°, by angle:
| 2theta | I/Imax |
| --- | --- |
| 27.2 | 100 |
| 28.6 | 61 |
| 36.1 | 72 |
| 45.4 | 28 |
| 53.4 | 27 |
| 56.2 | 23 |

Structural model:
```
Cr2IO
1.0
-2.853 2.853 5.597
2.853 -2.853 5.597
2.853 2.853 -5.597
Cr I O
4 2 2
Direct
0.375 0.199 0.324 Cr
0.801 0.125 0.176 Cr
0.875 0.051 0.676 Cr
0.949 0.625 0.824 Cr
0.250 0.750 0.500 I
0.500 0.500 0.000 I
0.000 0.000 0.000 O
0.750 0.250 0.500 O
```